This entry pairs a crystal structure of LaPm2IO4 with its simulated X-ray powder pattern. Radiation: Cu Kα X-rays. Structure: a PBE-relaxed structure.

Crystal structure
abc: 4.099 4.099 9.737
angles: 90.00 90.00 90.00
Positions (direct):
La  0.000  0.000  0.000
Pm  0.500  0.500  0.252
Pm  0.500  0.500  0.748
I  0.000  0.000  0.500
O  0.000  0.500  0.153
O  0.000  0.500  0.847
O  0.500  0.000  0.153
O  0.500  0.000  0.847

The 10 most intense peaks (10° ≤ 2θ ≤ 90°), sorted by position:
| two_theta | Rel. int. |
| --- | --- |
| 28.47 | 100 |
| 30.85 | 31 |
| 36.93 | 10 |
| 44.20 | 19 |
| 48.86 | 26 |
| 53.41 | 34 |
| 58.91 | 11 |
| 61.45 | 11 |
| 78.76 | 11 |
| 84.73 | 10 |

***

This entry pairs a crystal structure of RbLaIO6 with its simulated X-ray powder pattern. Radiation: Cu Kα X-rays. Structure: a PBE-relaxed structure.

Crystal structure
abc: 5.985 5.985 5.978
angles: 90.00 90.00 120.00
Positions (direct):
Rb  0.000  0.000  0.000
La  0.333  0.667  0.500
I  0.667  0.333  0.500
O  0.414  0.064  0.681
O  0.414  0.350  0.319
O  0.650  0.064  0.319
O  0.650  0.586  0.681
O  0.936  0.350  0.681
O  0.936  0.586  0.319

The 10 most intense peaks (10° ≤ 2θ ≤ 90°), sorted by position:
| two_theta | Rel. int. |
| --- | --- |
| 14.82 | 44 |
| 22.71 | 100 |
| 29.87 | 60 |
| 33.49 | 21 |
| 37.84 | 22 |
| 42.76 | 51 |
| 48.94 | 34 |
| 62.05 | 21 |
| 66.97 | 19 |
| 70.39 | 21 |

***

This entry pairs a crystal structure of La2SiI2O4 with its simulated X-ray powder pattern. Radiation: Cu Kα X-rays. Structure: a PBE-relaxed structure.

Crystal structure
abc: 8.452 8.729 12.713
angles: 108.15 98.85 90.06
Positions (direct):
La  0.137  0.292  0.321
La  0.212  0.056  0.624
La  0.280  0.792  0.321
La  0.346  0.557  0.625
La  0.654  0.443  0.375
La  0.720  0.208  0.679
La  0.788  0.944  0.376
La  0.863  0.708  0.679
Si  0.057  0.694  0.477
Si  0.432  0.195  0.477
Si  0.568  0.805  0.523
Si  0.943  0.306  0.523
I  0.009  0.085  0.840
I  0.148  0.556  0.827
I  0.350  0.416  0.159
I  0.497  0.950  0.176
I  0.503  0.050  0.824
I  0.650  0.584  0.841
I  0.852  0.444  0.173
I  0.991  0.915  0.160
O  0.051  0.854  0.434
O  0.123  0.380  0.530
O  0.128  0.758  0.613
O  0.184  0.581  0.407
O  0.272  0.081  0.409
O  0.392  0.879  0.529
O  0.418  0.354  0.434
O  0.425  0.259  0.614
O  0.575  0.741  0.386
O  0.582  0.646  0.566
O  0.608  0.121  0.471
O  0.728  0.919  0.591
O  0.816  0.419  0.593
O  0.872  0.242  0.387
O  0.877  0.620  0.470
O  0.949  0.146  0.566

The 10 most intense peaks (10° ≤ 2θ ≤ 90°), sorted by position:
| two_theta | Rel. int. |
| --- | --- |
| 14.86 | 43 |
| 20.36 | 38 |
| 24.89 | 87 |
| 27.85 | 100 |
| 28.04 | 46 |
| 28.18 | 81 |
| 37.11 | 67 |
| 37.55 | 33 |
| 45.42 | 37 |
| 45.67 | 41 |

***

This entry pairs a crystal structure of LaTaIO4 with its simulated X-ray powder pattern. Radiation: Cu Kα X-rays. Structure: a PBE-relaxed structure.

Crystal structure
abc: 7.500 7.500 7.086
angles: 104.99 104.99 52.25
Positions (direct):
La  0.205  0.205  0.307
La  0.795  0.795  0.693
Ta  0.110  0.110  0.696
Ta  0.890  0.890  0.304
I  0.458  0.458  0.803
I  0.542  0.542  0.197
O  0.037  0.037  0.350
O  0.046  0.598  0.378
O  0.158  0.158  0.970
O  0.402  0.954  0.622
O  0.598  0.046  0.378
O  0.842  0.842  0.030
O  0.954  0.402  0.622
O  0.963  0.963  0.650

The 10 most intense peaks (10° ≤ 2θ ≤ 90°), sorted by position:
| two_theta | Rel. int. |
| --- | --- |
| 18.63 | 33 |
| 24.71 | 98 |
| 25.03 | 100 |
| 26.27 | 55 |
| 27.00 | 94 |
| 30.78 | 71 |
| 31.56 | 52 |
| 38.03 | 43 |
| 40.20 | 28 |
| 49.09 | 40 |

***

What did the first record say?
This entry pairs a crystal structure of LaPm2IO4 with its simulated X-ray powder pattern. Radiation: Cu Kα X-rays. Structure: a PBE-relaxed structure.

Crystal structure
abc: 4.099 4.099 9.737
angles: 90.00 90.00 90.00
Positions (direct):
La  0.000  0.000  0.000
Pm  0.500  0.500  0.252
Pm  0.500  0.500  0.748
I  0.000  0.000  0.500
O  0.000  0.500  0.153
O  0.000  0.500  0.847
O  0.500  0.000  0.153
O  0.500  0.000  0.847

The 10 most intense peaks (10° ≤ 2θ ≤ 90°), sorted by position:
| two_theta | Rel. int. |
| --- | --- |
| 28.47 | 100 |
| 30.85 | 31 |
| 36.93 | 10 |
| 44.20 | 19 |
| 48.86 | 26 |
| 53.41 | 34 |
| 58.91 | 11 |
| 61.45 | 11 |
| 78.76 | 11 |
| 84.73 | 10 |

***

What is the formula in the third record? La2SiI2O4